For Y6GaSe4, a structure optimized by DFT (PBE) gives the computed powder diffraction line list in this record (Cu Kα (λ = 1.5418 Å)).

Peak list (12 most intense, 2θ = 10–90°, sorted by position)
| two_theta | I (rel.) |
| --- | --- |
| 29.11 | 64 |
| 30.23 | 73 |
| 31.16 | 100 |
| 32.66 | 42 |
| 33.11 | 36 |
| 42.05 | 39 |
| 44.24 | 64 |
| 45.07 | 38 |
| 46.26 | 30 |
| 54.55 | 21 |
| 64.99 | 21 |
| 78.35 | 19 |

Crystal structure
abc: 6.9849 6.9849 20.7124
angles: 90.00 90.00 146.52
Sites, in units of the cell vectors:
Y: 0.0000 0.0000 0.0000
Y: 0.0000 0.0000 0.5000
Y: 0.1662 0.8338 0.7500
Y: 0.2711 0.7289 0.0955
Y: 0.2711 0.7289 0.4045
Y: 0.4434 0.5566 0.6672
Y: 0.4434 0.5566 0.8328
Y: 0.5566 0.4434 0.1672
Y: 0.5566 0.4434 0.3328
Y: 0.7289 0.2711 0.5955
Y: 0.7289 0.2711 0.9045
Y: 0.8338 0.1662 0.2500
Ga: 0.1715 0.8285 0.2500
Ga: 0.8285 0.1715 0.7500
Se: 0.0833 0.9167 0.6248
Se: 0.0833 0.9167 0.8752
Se: 0.3577 0.6423 0.5379
Se: 0.3577 0.6423 0.9621
Se: 0.6423 0.3577 0.0379
Se: 0.6423 0.3577 0.4621
Se: 0.9167 0.0833 0.1248
Se: 0.9167 0.0833 0.3752